# 1
Li4Mn2Co3Cu3O16: computed powder X-ray diffraction pattern (Cu Ka), based on a structure optimized by DFT (GGA+U).
Kinematic intensities with the Lorentz-polarization factor, no thermal factor.

Largest 8 diffraction maxima, sorted by position, 2θ = 5–70°:
d [Å]	two_theta	intensity
4.646	19.1	100
4.419	20.1	51
4.366	20.3	68
2.442	36.8	40
2.416	37.2	30
1.955	46.4	33
1.928	47.1	30
1.447	64.4	37

Crystal structure
Unit cell a=10.054 b=5.739 c=9.296 alpha=90.00 beta=91.68 gamma=90.00
Space group Cm (No. 8)
Asymmetric unit:
Li1 0.000 0.000 0.000 (multiplicity 2)
Li2 0.001 0.000 0.500 (multiplicity 2)
Li3 0.162 0.500 0.408 (multiplicity 2)
Li4 0.337 0.000 0.902 (multiplicity 2)
Mn1 0.171 0.500 0.985 (multiplicity 2)
Mn2 0.328 0.000 0.498 (multiplicity 2)
Co1 0.085 0.256 0.719 (multiplicity 4)
Co2 0.170 0.000 0.217 (multiplicity 2)
Cu1 0.331 0.500 0.718 (multiplicity 2)
Cu2 0.414 0.246 0.220 (multiplicity 4)
O1 0.004 0.000 0.810 (multiplicity 2)
O2 0.006 0.000 0.309 (multiplicity 2)
O3 0.020 0.500 0.843 (multiplicity 2)
O4 0.092 0.244 0.104 (multiplicity 4)
O5 0.162 0.500 0.619 (multiplicity 2)
O6 0.165 0.000 0.607 (multiplicity 2)
O7 0.237 0.275 0.849 (multiplicity 4)
O8 0.249 0.214 0.350 (multiplicity 4)
O9 0.328 0.000 0.116 (multiplicity 2)
O10 0.336 0.500 0.099 (multiplicity 2)
O11 0.420 0.249 0.599 (multiplicity 4)
O12 0.474 0.000 0.357 (multiplicity 2)


# 2
Fe2PO4F: computed powder X-ray diffraction pattern (Cu Ka), based on a structure optimized by DFT (GGA+U).
Kinematic intensities with the Lorentz-polarization factor, no thermal factor.

Largest 8 diffraction maxima, sorted by position, 2θ = 5–70°:
d [Å]	two_theta	intensity
3.656	24.3	47
3.413	26.1	24
3.222	27.7	61
3.092	28.9	86
2.906	30.8	100
2.855	31.3	41
2.558	35.1	26
2.145	42.1	24

Crystal structure
Unit cell a=13.178 b=6.604 c=9.982 alpha=90.00 beta=118.21 gamma=90.00
Space group C2/c (No. 15)
Asymmetric unit:
Fe1 0.061 0.222 0.007 (multiplicity 8)
Fe2 0.158 0.397 0.359 (multiplicity 8)
P1 0.173 0.093 0.806 (multiplicity 8)
O1 0.078 0.037 0.644 (multiplicity 8)
O2 0.133 0.279 0.864 (multiplicity 8)
O3 0.194 0.084 0.419 (multiplicity 8)
O4 0.213 0.357 0.198 (multiplicity 8)
F1 0.017 0.391 0.394 (multiplicity 8)


# 3
Gd2W2O9: computed powder X-ray diffraction pattern (Cu Ka), based on a structure optimized by DFT (GGA+U).
Kinematic intensities with the Lorentz-polarization factor, no thermal factor.

Largest 8 diffraction maxima, sorted by position, 2θ = 5–70°:
d [Å]	two_theta	intensity
3.365	26.5	100
3.166	28.2	70
3.140	28.4	58
3.070	29.1	49
3.036	29.4	33
2.911	30.7	38
2.856	31.3	37
2.540	35.3	25

Crystal structure
Unit cell a=6.815 b=7.195 c=7.432 alpha=69.98 beta=84.93 gamma=83.18
Space group P-1 (No. 2)
Asymmetric unit:
Gd1 0.117 0.281 0.384 (multiplicity 2)
Gd2 0.347 0.741 0.845 (multiplicity 2)
W1 0.228 0.266 0.943 (multiplicity 2)
W2 0.342 0.792 0.363 (multiplicity 2)
O1 0.003 0.772 0.906 (multiplicity 2)
O2 0.139 0.639 0.376 (multiplicity 2)
O3 0.165 0.503 0.752 (multiplicity 2)
O4 0.184 0.913 0.532 (multiplicity 2)
O5 0.232 0.078 0.826 (multiplicity 2)
O6 0.315 0.426 0.092 (multiplicity 2)
O7 0.358 0.063 0.203 (multiplicity 2)
O8 0.464 0.302 0.463 (multiplicity 2)
O9 0.470 0.729 0.145 (multiplicity 2)


# 4
Sr3Co3O8: computed powder X-ray diffraction pattern (Cu Ka), based on a structure optimized by DFT (GGA+U).
Kinematic intensities with the Lorentz-polarization factor, no thermal factor.

Largest 8 diffraction maxima, sorted by position, 2θ = 5–70°:
d [Å]	two_theta	intensity
2.802	31.9	100
2.756	32.5	53
2.734	32.8	95
2.718	32.9	53
1.984	45.7	36
1.978	45.9	36
1.891	48.1	29
1.599	57.7	40

Crystal structure
Unit cell a=7.936 b=7.914 c=11.967 alpha=90.00 beta=108.57 gamma=90.00
Space group C2/m (No. 12)
Asymmetric unit:
Sr1 0.085 0.243 0.172 (multiplicity 8)
Sr2 0.250 0.250 0.500 (multiplicity 4)
Co1 0.086 0.500 0.679 (multiplicity 4)
Co2 0.087 0.000 0.663 (multiplicity 4)
Co3 0.237 0.000 0.996 (multiplicity 4)
O1 0.000 0.000 0.000 (multiplicity 2)
O2 0.000 0.000 0.500 (multiplicity 2)
O3 0.082 0.274 0.657 (multiplicity 8)
O4 0.120 0.500 0.851 (multiplicity 4)
O5 0.164 0.000 0.323 (multiplicity 4)
O6 0.166 0.500 0.355 (multiplicity 4)
O7 0.197 0.000 0.835 (multiplicity 4)
O8 0.250 0.250 0.000 (multiplicity 4)